Computed X-ray powder pattern of KMgMn4O8 for Cu Ka, from a cell relaxed with GGA+U.
Intensities are scaled so that the largest is 1000.

Cell and atoms:
```
data_KMgMn4O8
_space_group_name_H-M_alt 'P -1'
_space_group_IT_number 2
_cell_length_a 6.0958
_cell_length_b 6.1383
_cell_length_c 6.4068
_cell_angle_alpha 117.32
_cell_angle_beta 90.17
_cell_angle_gamma 119.74
loop_
_space_group_symop_operation_xyz
'x,y,z'
'-x,-y,-z'
loop_
_atom_site_label
_atom_site_type_symbol
_atom_site_fract_x
_atom_site_fract_y
_atom_site_fract_z
K1 K 0.0000 0.0000 0.0000
Mg1 Mg 0.5000 0.0000 0.0000
Mn1 Mn 0.0000 0.0000 0.5000
Mn2 Mn 0.0000 0.5000 0.5000
Mn3 Mn 0.5000 0.0000 0.5000
Mn4 Mn 0.5000 0.5000 0.5000
O1 O 0.2453 0.9353 0.6929
O2 O 0.2495 0.4975 0.7018
O3 O 0.2598 0.5212 0.3186
O4 O 0.3091 0.0646 0.3083
```

The 8 most intense peaks (2θ from 10° to 80°), in order of rising 2θ:
2θ 16.32, d 5.432, I 1000, hkl 0 0 1
2θ 17.66, d 5.022, I 160, hkl 0 1 -1
2θ 32.98, d 2.716, I 140, hkl 0 0 2
2θ 35.53, d 2.527, I 174, hkl 2 -2 0
2θ 39.90, d 2.259, I 352, hkl 0 2 0
2θ 40.88, d 2.208, I 327, hkl 2 0 -2
2θ 41.00, d 2.201, I 325, hkl 2 -2 2
2θ 60.32, d 1.534, I 180, hkl 2 2 -2